For AcNd5Sm5, a DFT-relaxed cell (PBE, Alexandria) gives the calculated powder X-ray diffraction pattern in this record (Cu Kα).
Intensities are scaled so that the largest is 100.

Cell lengths 6.3048, 6.3048, 11.7301 Å; angles 90.00, 90.00, 120.00 degrees
Space group P-6m2 (No. 187)
Symmetry-distinct sites (fractional):
Ac (0.0000, 0.0000, 0.0000) (multiplicity 1)
Nd (0.0000, 0.0000, 0.3335) (multiplicity 2)
Nd (0.3333, 0.6667, 0.1622) (multiplicity 2)
Nd (0.6667, 0.3333, 0.0000) (multiplicity 1)
Sm (0.0039, 0.5019, 0.5000) (multiplicity 3)
Sm (0.6667, 0.3333, 0.2659) (multiplicity 2)

Principal peaks in the range 2θ from 10° to 80°, low angle first:
2theta, Rel. int.
28.07, 100
28.31, 86
29.34, 32
36.30, 33
49.97, 40
58.56, 27